Computed powder XRD pattern of Er2Ga4Ag3 for Cu Kα, 1.54184 Å, from the PBE geometry in Alexandria.
Intensities are scaled so that the largest is 100.

Atomic structure:
```
data_Er2Ga4Ag3
_cell_length_a 5.8157
_cell_length_b 15.7569
_cell_length_c 7.6890
_cell_angle_alpha 90.00
_cell_angle_beta 90.00
_cell_angle_gamma 90.00
_symmetry_space_group_name_H-M 'C m c e'
_symmetry_Int_Tables_number 64
_symmetry_space_group_name_Hall '-C 2ac 2'
loop_
_atom_site_label
_atom_site_type_symbol
_atom_site_fract_x
_atom_site_fract_y
_atom_site_fract_z
Er1 Er 0.0000 0.1034 0.0951
Ga1 Ga 0.0000 0.1711 0.4773
Ga2 Ga 0.2500 0.0644 0.7500
Ag1 Ag 0.0000 0.0000 0.5000
Ag2 Ag 0.2500 0.2337 0.7500
```

Top 10 peaks for 10 to 90 degrees two-theta, by angle:
(hkl)  2θ (°)  I/Imax
1 3 2  32.72  39.9
1 5 1  34.41  94.0
2 2 1  34.90  49.0
0 6 1  36.14  22.5
0 2 3  36.88  45.8
2 4 0  38.48  28.3
2 0 2  38.83  100.0
0 6 2  41.65  25.6
3 5 1  57.05  21.6
2 6 4  68.57  26.6



Computed powder XRD pattern of RbZn2Au2 for Cu Kα, 1.54184 Å, from the PBE geometry in Alexandria.
Intensities are scaled so that the largest is 100.

Atomic structure:
```
data_RbZn2Au2
_cell_length_a 6.8377
_cell_length_b 11.8842
_cell_length_c 13.0663
_cell_angle_alpha 90.00
_cell_angle_beta 90.00
_cell_angle_gamma 90.00
_symmetry_space_group_name_H-M 'F d d d'
_symmetry_Int_Tables_number 70
loop_
_symmetry_equiv_pos_as_xyz
'x,y,z'
'-x,-y,-z'
'-x+1/4,-y+1/4,z'
'x+1/4,y+1/4,-z'
'x,-y+1/4,-z+1/4'
'-x,y+1/4,z+1/4'
'-x+1/4,y,-z+1/4'
'x+1/4,-y,z+1/4'
'x,y+1/2,z+1/2'
'-x,-y+1/2,-z+1/2'
'-x+1/4,-y+3/4,z+1/2'
'x+1/4,y+3/4,-z+1/2'
'x,-y+3/4,-z+3/4'
'-x,y+3/4,z+3/4'
'-x+1/4,y+1/2,-z+3/4'
'x+1/4,-y+1/2,z+3/4'
'x+1/2,y,z+1/2'
'-x+1/2,-y,-z+1/2'
'-x+3/4,-y+1/4,z+1/2'
'x+3/4,y+1/4,-z+1/2'
'x+1/2,-y+1/4,-z+3/4'
'-x+1/2,y+1/4,z+3/4'
'-x+3/4,y,-z+3/4'
'x+3/4,-y,z+3/4'
'x+1/2,y+1/2,z'
'-x+1/2,-y+1/2,-z'
'-x+3/4,-y+3/4,z'
'x+3/4,y+3/4,-z'
'x+1/2,-y+3/4,-z+1/4'
'-x+1/2,y+3/4,z+1/4'
'-x+3/4,y+1/2,-z+1/4'
'x+3/4,-y+1/2,z+1/4'
loop_
_atom_site_label
_atom_site_type_symbol
_atom_site_fract_x
_atom_site_fract_y
_atom_site_fract_z
Rb1 Rb 0.1250 0.1250 0.1250
Zn1 Zn 0.1250 0.1250 0.5086
Au1 Au 0.1250 0.3048 0.6250
```

Top 10 peaks for 10 to 90 degrees two-theta, by angle:
(hkl)  2θ (°)  I/Imax
1 1 1  16.42  56.6
1 3 1  26.89  66.9
0 0 4  27.30  28.5
2 0 2  29.49  100.0
1 3 3  33.26  90.8
2 2 4  41.12  33.8
1 3 5  43.55  49.8
0 6 2  48.00  21.6
3 3 3  50.74  27.6
2 6 0  53.46  25.6



Computed powder XRD pattern of Dy2B10Ru for Cu Kα, 1.54184 Å, from the PBE geometry in Alexandria.
Intensities are scaled so that the largest is 100.

Atomic structure:
```
data_Dy2B10Ru
_cell_length_a 5.7004
_cell_length_b 11.3403
_cell_length_c 4.1660
_cell_angle_alpha 90.00
_cell_angle_beta 90.00
_cell_angle_gamma 90.00
_symmetry_space_group_name_H-M 'P b a m'
_symmetry_Int_Tables_number 55
_symmetry_space_group_name_Hall '-P 2 2ab'
loop_
_atom_site_label
_atom_site_type_symbol
_atom_site_fract_x
_atom_site_fract_y
_atom_site_fract_z
Dy1 Dy 0.2225 0.1301 0.0000
B1 B 0.0575 0.3074 0.5000
B2 B 0.1197 0.9584 0.5000
B3 B 0.1340 0.8025 0.5000
B4 B 0.2228 0.3813 0.1994
Ru1 Ru 0.0000 0.5000 0.5000
```

Top 10 peaks for 10 to 90 degrees two-theta, by angle:
(hkl)  2θ (°)  I/Imax
0 0 1  21.33  17.1
1 2 0  22.11  72.9
1 1 1  27.66  21.6
1 2 1  30.91  100.0
2 0 1  38.26  49.0
0 4 1  38.41  53.1
0 0 2  43.44  18.7
2 4 0  45.11  31.6
1 2 2  49.27  27.6
2 4 2  64.42  17.3



Computed powder XRD pattern of Pm2Dy5Y5 for Cu Kα, 1.54184 Å, from the PBE geometry in Alexandria.
Intensities are scaled so that the largest is 100.

Atomic structure:
```
data_Pm2Dy5Y5
_cell_length_a 15.1489
_cell_length_b 5.0497
_cell_length_c 11.3033
_cell_angle_alpha 90.00
_cell_angle_beta 116.54
_cell_angle_gamma 90.00
_symmetry_space_group_name_H-M 'C 1 2/m 1'
_symmetry_Int_Tables_number 12
_symmetry_space_group_name_Hall '-C 2y'
loop_
_atom_site_label
_atom_site_type_symbol
_atom_site_fract_x
_atom_site_fract_y
_atom_site_fract_z
Pm1 Pm 0.0833 0.0000 0.2491
Dy1 Dy 0.0000 0.0000 0.5000
Dy2 Dy 0.1676 0.0000 0.0004
Dy3 Dy 0.2493 0.0000 0.7503
Y1 Y 0.0000 0.5000 0.0000
Y2 Y 0.0843 0.5000 0.7504
Y3 Y 0.1664 0.5000 0.5002
```

Top 10 peaks for 10 to 90 degrees two-theta, by angle:
(hkl)  2θ (°)  I/Imax
2 0 1  18.75  5.4
3 1 1  30.65  100.0
0 2 0  35.54  50.4
6 0 2  51.14  35.6
3 3 1  60.81  42.1
6 2 2  63.83  12.1
0 4 0  75.28  3.7
9 1 3  83.39  17.2
6 0 6  86.05  10.7
12 2 -4  86.12  5.4



Computed powder XRD pattern of SrPu3P4N12 for Cu Kα, 1.54184 Å, from the PBE geometry in Alexandria.
Intensities are scaled so that the largest is 100.

Atomic structure:
```
data_SrPu3P4N12
_cell_length_a 10.8455
_cell_length_b 10.8455
_cell_length_c 8.7379
_cell_angle_alpha 90.00
_cell_angle_beta 90.00
_cell_angle_gamma 120.00
_symmetry_space_group_name_H-M 'R 3 2'
_symmetry_Int_Tables_number 155
_symmetry_space_group_name_Hall 'R 3 2"'
loop_
_atom_site_label
_atom_site_type_symbol
_atom_site_fract_x
_atom_site_fract_y
_atom_site_fract_z
Sr1 Sr 0.0000 0.0000 0.0000
Pu1 Pu 0.0000 0.5509 0.0000
P1 P 0.0000 0.0000 0.5000
P2 P 0.0000 0.4463 0.5000
N1 N 0.0000 0.5942 0.5000
N2 N 0.0000 0.8541 0.5000
N3 N 0.0275 0.2133 0.1877
```

Top 10 peaks for 10 to 90 degrees two-theta, by angle:
(hkl)  2θ (°)  I/Imax
1 1 0  16.35  45.2
0 2 1  21.48  80.5
2 1 1  27.11  32.7
2 0 2  27.89  100.0
2 2 0  33.04  29.9
1 1 3  34.97  19.9
1 3 1  35.98  35.9
3 1 2  40.31  34.0
0 2 4  45.77  42.8
1 3 4  54.80  31.6



Computed powder XRD pattern of Rb2CaSnF6 for Cu Kα, 1.54184 Å, from the PBE geometry in Alexandria.
Intensities are scaled so that the largest is 100.

Atomic structure:
```
data_Rb2CaSnF6
_cell_length_a 4.6386
_cell_length_b 4.6386
_cell_length_c 9.2899
_cell_angle_alpha 90.00
_cell_angle_beta 90.00
_cell_angle_gamma 90.00
_symmetry_space_group_name_H-M 'P 4/m m m'
_symmetry_Int_Tables_number 123
_symmetry_space_group_name_Hall '-P 4 2'
loop_
_atom_site_label
_atom_site_type_symbol
_atom_site_fract_x
_atom_site_fract_y
_atom_site_fract_z
Rb1 Rb 0.0000 0.0000 0.2414
Ca1 Ca 0.5000 0.5000 0.0000
Sn1 Sn 0.5000 0.5000 0.5000
F1 F 0.0000 0.5000 0.0000
F2 F 0.0000 0.5000 0.5000
F3 F 0.5000 0.5000 0.2406
```

Top 10 peaks for 10 to 90 degrees two-theta, by angle:
(hkl)  2θ (°)  I/Imax
1 0 1  21.41  9.4
1 1 0  27.18  100.0
1 1 2  33.44  7.3
2 0 0  38.81  44.8
2 1 2  48.02  42.0
2 2 0  56.05  28.2
3 1 0  63.38  18.7
2 2 4  70.26  9.1
3 2 2  76.86  21.9
3 3 0  89.67  6.7



Computed powder XRD pattern of Tm2Mg5Ag for Cu Kα, 1.54184 Å, from the PBE geometry in Alexandria.
Intensities are scaled so that the largest is 100.

Atomic structure:
```
data_Tm2Mg5Ag
_cell_length_a 6.6288
_cell_length_b 6.6288
_cell_length_c 4.9768
_cell_angle_alpha 90.00
_cell_angle_beta 90.00
_cell_angle_gamma 90.00
_symmetry_space_group_name_H-M 'P 4/m m m'
_symmetry_Int_Tables_number 123
_symmetry_space_group_name_Hall '-P 4 2'
loop_
_atom_site_label
_atom_site_type_symbol
_atom_site_fract_x
_atom_site_fract_y
_atom_site_fract_z
Tm1 Tm 0.0000 0.5000 0.0000
Mg1 Mg 0.0000 0.0000 0.0000
Mg2 Mg 0.2794 0.2794 0.5000
Ag1 Ag 0.0000 0.0000 0.5000
```

Top 10 peaks for 10 to 90 degrees two-theta, by angle:
(hkl)  2θ (°)  I/Imax
1 0 0  13.36  19.1
1 1 0  18.93  21.7
1 1 1  26.12  100.0
2 0 0  26.90  36.4
2 0 1  32.46  37.5
0 0 2  36.10  19.8
2 2 0  38.41  31.7
2 0 2  45.59  17.6
3 1 1  47.04  38.2
2 2 2  53.73  23.7



Computed powder XRD pattern of Pm4Ga12Os for Cu Kα, 1.54184 Å, from the PBE geometry in Alexandria.
Intensities are scaled so that the largest is 100.

Atomic structure:
```
data_Pm4Ga12Os
_cell_length_a 8.7461
_cell_length_b 8.7461
_cell_length_c 8.7461
_cell_angle_alpha 90.00
_cell_angle_beta 90.00
_cell_angle_gamma 90.00
_symmetry_space_group_name_H-M 'I m -3 m'
_symmetry_Int_Tables_number 229
_symmetry_space_group_name_Hall '-I 4 2 3'
loop_
_atom_site_label
_atom_site_type_symbol
_atom_site_fract_x
_atom_site_fract_y
_atom_site_fract_z
Pm1 Pm 0.2500 0.2500 0.2500
Ga1 Ga 0.0000 0.0000 0.2902
Ga2 Ga 0.0000 0.2500 0.5000
Os1 Os 0.0000 0.0000 0.0000
```

Top 10 peaks for 10 to 90 degrees two-theta, by angle:
(hkl)  2θ (°)  I/Imax
2 2 0  28.87  45.6
3 1 0  32.37  16.0
2 2 2  35.56  100.0
3 2 1  38.51  23.1
4 0 0  41.29  82.4
3 3 2  48.84  13.3
4 2 2  51.17  14.5
4 4 0  59.82  49.8
6 2 2  71.56  30.3
4 4 4  75.28  15.2



Computed powder XRD pattern of Ac2PrAu6 for Cu Kα, 1.54184 Å, from the PBE geometry in Alexandria.
Intensities are scaled so that the largest is 100.

Atomic structure:
```
data_Ac2PrAu6
_cell_length_a 8.3569
_cell_length_b 8.3569
_cell_length_c 3.8383
_cell_angle_alpha 90.00
_cell_angle_beta 90.00
_cell_angle_gamma 120.00
_symmetry_space_group_name_H-M 'P 6/m m m'
_symmetry_Int_Tables_number 191
_symmetry_space_group_name_Hall '-P 6 2'
loop_
_atom_site_label
_atom_site_type_symbol
_atom_site_fract_x
_atom_site_fract_y
_atom_site_fract_z
Ac1 Ac 0.3333 0.6667 0.0000
Pr1 Pr 0.0000 0.0000 0.0000
Au1 Au 0.0000 0.3316 0.5000
```

Top 10 peaks for 10 to 90 degrees two-theta, by angle:
(hkl)  2θ (°)  I/Imax
1 1 1  31.65  100.0
3 0 0  37.27  73.7
3 0 1  44.35  10.7
0 0 2  47.37  12.6
2 2 1  49.68  29.0
3 0 2  61.77  34.5
4 1 1  63.72  27.8
3 3 0  67.21  13.4
3 3 2  86.30  14.3
5 2 1  88.03  12.2



Computed powder XRD pattern of Na5PaTe4 for Cu Kα, 1.54184 Å, from the PBE geometry in Alexandria.
Intensities are scaled so that the largest is 100.

Atomic structure:
```
data_Na5PaTe4
_cell_length_a 19.1252
_cell_length_b 4.7504
_cell_length_c 8.5120
_cell_angle_alpha 90.00
_cell_angle_beta 116.33
_cell_angle_gamma 90.00
_symmetry_space_group_name_H-M 'C 1 2/m 1'
_symmetry_Int_Tables_number 12
_symmetry_space_group_name_Hall '-C 2y'
loop_
_atom_site_label
_atom_site_type_symbol
_atom_site_fract_x
_atom_site_fract_y
_atom_site_fract_z
Na1 Na 0.0000 0.0000 0.0000
Na2 Na 0.1763 0.5000 0.4446
Na3 Na 0.1760 0.5000 0.9086
Pa1 Pa 0.0000 0.0000 0.5000
Te1 Te 0.0003 0.5000 0.2482
Te2 Te 0.1921 0.0000 0.6925
```

Top 10 peaks for 10 to 90 degrees two-theta, by angle:
(hkl)  2θ (°)  I/Imax
2 0 0  10.32  40.5
2 0 -1  11.61  84.0
4 0 0  20.73  34.7
1 1 -1  21.42  49.9
4 0 1  28.06  26.4
3 1 -2  28.64  100.0
6 0 0  31.31  26.9
0 2 0  37.88  21.5
3 1 2  38.69  73.7
4 2 -4  58.22  18.3



Computed powder XRD pattern of Ac2Bi3Pd5 for Cu Kα, 1.54184 Å, from the PBE geometry in Alexandria.
Intensities are scaled so that the largest is 100.

Atomic structure:
```
data_Ac2Bi3Pd5
_cell_length_a 11.4496
_cell_length_b 12.7399
_cell_length_c 6.7814
_cell_angle_alpha 90.00
_cell_angle_beta 90.00
_cell_angle_gamma 90.00
_symmetry_space_group_name_H-M 'I b a m'
_symmetry_Int_Tables_number 72
_symmetry_space_group_name_Hall '-I 2 2c'
loop_
_atom_site_label
_atom_site_type_symbol
_atom_site_fract_x
_atom_site_fract_y
_atom_site_fract_z
Ac1 Ac 0.2243 0.1282 0.0000
Bi1 Bi 0.0000 0.5000 0.2500
Bi2 Bi 0.1155 0.1374 0.5000
Pd1 Pd 0.0000 0.0000 0.2500
Pd2 Pd 0.0000 0.2713 0.2500
Pd3 Pd 0.1520 0.3868 0.0000
```

Top 10 peaks for 10 to 90 degrees two-theta, by angle:
(hkl)  2θ (°)  I/Imax
3 2 1  30.32  99.1
2 0 2  30.64  74.7
2 4 0  32.16  61.5
4 1 1  34.74  20.5
0 4 2  38.79  100.0
5 2 1  44.10  29.7
3 2 3  48.97  27.0
3 6 1  51.03  21.6
0 0 4  54.09  20.8
2 4 4  64.33  21.7



Computed powder XRD pattern of Cu2AgTe for Cu Kα, 1.54184 Å, from the PBE geometry in Alexandria.
Intensities are scaled so that the largest is 100.

Atomic structure:
```
data_Cu2AgTe
_cell_length_a 3.5212
_cell_length_b 3.5212
_cell_length_c 5.6012
_cell_angle_alpha 90.00
_cell_angle_beta 90.00
_cell_angle_gamma 90.00
_symmetry_space_group_name_H-M 'P 4/m m m'
_symmetry_Int_Tables_number 123
_symmetry_space_group_name_Hall '-P 4 2'
loop_
_atom_site_label
_atom_site_type_symbol
_atom_site_fract_x
_atom_site_fract_y
_atom_site_fract_z
Cu1 Cu 0.0000 0.0000 0.2400
Ag1 Ag 0.5000 0.5000 0.0000
Te1 Te 0.5000 0.5000 0.5000
```

Top 10 peaks for 10 to 90 degrees two-theta, by angle:
(hkl)  2θ (°)  I/Imax
1 0 0  25.29  12.6
1 1 0  36.07  73.4
1 0 2  41.18  100.0
2 0 0  51.94  24.9
0 0 4  66.81  5.5
2 1 2  68.34  41.5
2 2 0  76.52  7.5
1 1 4  78.34  13.7
3 1 0  87.63  10.7
2 0 4  89.41  10.0